Starting from a structure optimized by DFT (GGA-PBE), the PXRD pattern of Gd2Cl3 was computed for Cu Kα, 1.54184 Å.
Kinematic intensities with the Lorentz-polarization factor, no thermal factor.

a = 7.998 Å, b = 7.998 Å, c = 10.310 Å
α = 117.66°, β = 117.66°, γ = 28.18°
Positions (direct):
Gd (0.088, 0.088, 0.449)
Gd (0.362, 0.362, 0.208)
Gd (0.638, 0.638, 0.792)
Gd (0.912, 0.912, 0.551)
Cl (0.160, 0.160, 0.008)
Cl (0.273, 0.273, 0.382)
Cl (0.455, 0.455, 0.764)
Cl (0.545, 0.545, 0.236)
Cl (0.727, 0.727, 0.618)
Cl (0.840, 0.840, 0.992)

Main lines, by intensity (2θ from 10° to 90°):
Position (°2θ), d (Å), I_rel
26.94, 3.310, 1000
11.95, 7.406, 853
32.99, 2.715, 518
28.88, 3.092, 506
37.28, 2.412, 445
35.88, 2.503, 361
35.61, 2.521, 314
26.17, 3.406, 303
45.50, 1.993, 295
39.70, 2.270, 260

=====

Starting from a structure optimized by DFT (GGA-PBE), the PXRD pattern of TbHoCu2B2N2 was computed for Cu Kα, 1.54184 Å.
Kinematic intensities with the Lorentz-polarization factor, no thermal factor.

a = 3.502 Å, b = 3.502 Å, c = 7.691 Å
α = 90.00°, β = 90.00°, γ = 90.00°
Positions (direct):
Tb (0.000, 0.000, 0.000)
Ho (0.500, 0.500, 0.330)
Cu (0.000, 0.500, 0.665)
Cu (0.500, 0.000, 0.665)
B (0.000, 0.000, 0.492)
B (0.500, 0.500, 0.840)
N (0.000, 0.000, 0.304)
N (0.500, 0.500, 0.029)

Main lines, by intensity (2θ from 10° to 90°):
Position (°2θ), d (Å), I_rel
28.00, 3.187, 1000
38.18, 2.357, 761
34.65, 2.589, 727
35.00, 2.564, 539
43.47, 2.082, 501
52.25, 1.751, 383
64.44, 1.446, 351
60.31, 1.535, 255
64.22, 1.450, 253
36.28, 2.476, 225

=====

Starting from a structure optimized by DFT (GGA-PBE), the PXRD pattern of TlGeAu3Se4 was computed for Cu Kα, 1.54184 Å.
Kinematic intensities with the Lorentz-polarization factor, no thermal factor.

a = 6.442 Å, b = 7.572 Å, c = 10.528 Å
α = 90.00°, β = 101.69°, γ = 90.00°
Positions (direct):
Tl (0.195, 0.250, 0.395)
Tl (0.805, 0.750, 0.605)
Ge (0.084, 0.250, 0.778)
Ge (0.916, 0.750, 0.222)
Au (0.368, 0.555, 0.090)
Au (0.368, 0.945, 0.090)
Au (0.499, 0.750, 0.347)
Au (0.501, 0.250, 0.653)
Au (0.632, 0.055, 0.910)
Au (0.632, 0.445, 0.910)
Se (0.046, 0.750, 0.018)
Se (0.160, 0.750, 0.426)
Se (0.291, 0.513, 0.758)
Se (0.291, 0.987, 0.758)
Se (0.709, 0.013, 0.242)
Se (0.709, 0.487, 0.242)
Se (0.840, 0.250, 0.574)
Se (0.954, 0.250, 0.982)

Main lines, by intensity (2θ from 10° to 90°):
Position (°2θ), d (Å), I_rel
25.06, 3.554, 1000
42.13, 2.145, 901
18.98, 4.675, 833
32.08, 2.790, 679
34.14, 2.626, 636
14.51, 6.103, 633
26.91, 3.313, 630
27.94, 3.193, 527
48.08, 1.892, 506
14.04, 6.308, 420

=====

Starting from a structure optimized by DFT (GGA-PBE), the PXRD pattern of SrSmSb2 was computed for Cu Kα, 1.54184 Å.
Kinematic intensities with the Lorentz-polarization factor, no thermal factor.

a = 8.260 Å, b = 8.260 Å, c = 6.995 Å
α = 90.00°, β = 90.00°, γ = 120.00°
Positions (direct):
Sr (0.000, 0.666, 0.000)
Sr (0.334, 0.334, 0.000)
Sr (0.666, 0.000, 0.000)
Sm (0.000, 0.333, 0.500)
Sm (0.333, 0.000, 0.500)
Sm (0.667, 0.667, 0.500)
Sb (0.000, 0.000, 0.265)
Sb (0.000, 0.000, 0.735)
Sb (0.333, 0.667, 0.266)
Sb (0.333, 0.667, 0.734)
Sb (0.667, 0.333, 0.266)
Sb (0.667, 0.333, 0.734)

Main lines, by intensity (2θ from 10° to 90°):
Position (°2θ), d (Å), I_rel
33.58, 2.669, 1000
25.04, 3.557, 699
37.72, 2.385, 645
51.38, 1.778, 296
65.48, 1.426, 283
66.28, 1.410, 224
21.52, 4.130, 216
44.63, 2.030, 184
45.81, 1.981, 137
60.79, 1.524, 118